1.
Simulated PXRD pattern
Compound: Ag8Hg
Radiation: Cu Kα X-rays
Structure: a cell relaxed with GGA-PBE
Lines closer than 0.1° are merged.

Peak list (10 most intense, 2θ = 10–80°, by intensity)
2θ/deg, I_rel
37.25, 100.0
38.14, 95.6
42.56, 34.3
44.07, 31.4
44.76, 29.7
37.48, 21.0
39.78, 20.8
34.86, 20.8
63.48, 20.3
64.63, 19.4

Cell and atoms:
```
Ag8Hg
1.0
4.5630 -2.0246 0.0000
4.5630 2.0246 0.0000
-0.1623 0.0000 28.7139
Ag Hg
16 2
Cartesian
0.4113 0.0000 6.1560
0.3138 0.0000 25.3949
1.2050 0.0000 28.2368
2.2686 0.0000 2.3361
2.1769 0.0000 21.6000
3.1288 0.0000 5.1735
3.0684 0.0000 24.4652
3.9526 0.0000 27.2961
5.0111 0.0000 1.4177
5.8953 0.0000 4.2487
5.8349 0.0000 23.5404
6.7868 0.0000 7.1139
6.6951 0.0000 26.3777
7.7587 0.0000 0.4770
8.6499 0.0000 3.3190
8.5524 0.0000 22.5579
4.0619 0.0000 8.1912
4.9018 0.0000 20.5227
```

=====

2.
Simulated PXRD pattern
Compound: Ag7Hg
Radiation: Cu Kα X-rays
Structure: a cell relaxed with GGA-PBE
Lines closer than 0.1° are merged.

Peak list (10 most intense, 2θ = 10–80°, by intensity)
2θ/deg, I_rel
38.19, 100.0
36.32, 84.4
42.24, 54.8
38.68, 40.5
45.37, 32.3
63.71, 30.9
44.34, 22.4
75.71, 18.6
75.10, 18.4
65.31, 13.2

Cell and atoms:
```
Ag7Hg
1.0
2.9168 0.0000 0.0000
0.0000 3.9983 0.0000
0.0000 0.0000 31.4833
Ag Hg
14 2
Cartesian
0.7292 0.9996 0.7546
0.7292 0.9996 3.7757
0.7292 0.9996 6.7785
0.7292 0.9996 9.7818
0.7292 0.9996 23.2321
0.7292 0.9996 26.2107
0.7292 0.9996 29.2114
2.1876 2.9987 2.2719
2.1876 2.9987 5.2727
2.1876 2.9987 8.2512
2.1876 2.9987 21.7016
2.1876 2.9987 24.7048
2.1876 2.9987 27.7076
2.1876 2.9987 30.7288
0.7292 0.9996 19.9285
2.1876 2.9987 11.5549
```

=====

3.
Simulated PXRD pattern
Compound: Ag9Hg
Radiation: Cu Kα X-rays
Structure: a cell relaxed with GGA-PBE
Lines closer than 0.1° are merged.

Peak list (10 most intense, 2θ = 10–80°, by intensity)
2θ/deg, I_rel
37.94, 100.0
37.41, 94.5
43.07, 62.6
64.17, 36.5
45.16, 29.0
75.87, 22.7
74.87, 21.1
78.52, 10.8
78.19, 10.2
63.27, 10.1

Cell and atoms:
```
Ag9Hg
1.0
2.9395 0.0000 0.0000
0.0000 4.0157 0.0000
0.0000 0.0000 36.0166
Ag Hg
18 2
Cartesian
0.7349 1.0039 0.7349
0.7349 1.0039 3.6893
0.7349 1.0039 6.6632
0.7349 1.0039 9.6471
0.7349 1.0039 12.6340
0.7349 1.0039 24.9048
0.7349 1.0039 27.8712
0.7349 1.0039 30.8434
0.7349 1.0039 33.8040
2.2046 3.0118 2.2126
2.2046 3.0118 5.1732
2.2046 3.0118 8.1454
2.2046 3.0118 11.1118
2.2046 3.0118 23.3826
2.2046 3.0118 26.3695
2.2046 3.0118 29.3534
2.2046 3.0118 32.3273
2.2046 3.0118 35.2817
0.7349 1.0039 21.6534
2.2046 3.0118 14.3632
```

=====

4.
Simulated PXRD pattern
Compound: Ag10Hg
Radiation: Cu Kα X-rays
Structure: a cell relaxed with GGA-PBE
Lines closer than 0.1° are merged.

Peak list (10 most intense, 2θ = 10–80°, by intensity)
2θ/deg, I_rel
37.82, 100.0
38.51, 74.7
36.17, 61.5
43.40, 58.9
44.83, 49.1
64.20, 39.9
38.64, 27.0
76.88, 17.4
76.22, 12.9
75.54, 12.9

Cell and atoms:
```
Ag10Hg
1.0
4.6035 -2.0201 0.0000
4.6035 2.0201 0.0000
-0.2558 0.0000 30.2424
Ag Hg
20 2
Cartesian
0.3913 0.0000 6.1089
0.2344 0.0000 26.9545
1.2935 0.0000 8.9687
1.1293 0.0000 29.7735
2.2853 0.0000 2.3421
2.1433 0.0000 23.2094
3.1693 0.0000 5.1732
3.0075 0.0000 26.0369
4.0718 0.0000 8.0045
3.9011 0.0000 28.8394
5.0502 0.0000 1.4031
4.8794 0.0000 22.2380
5.9438 0.0000 4.2055
5.7820 0.0000 25.0692
6.8080 0.0000 7.0331
6.6660 0.0000 27.9004
7.8220 0.0000 0.4689
7.6578 0.0000 21.2737
8.7169 0.0000 3.2880
8.5600 0.0000 24.1335
1.1997 0.0000 20.2143
7.7516 0.0000 10.0281
```

=====

5.
Simulated PXRD pattern
Compound: Ag9Hg2
Radiation: Cu Kα X-rays
Structure: a cell relaxed with GGA-PBE
Lines closer than 0.1° are merged.

Peak list (10 most intense, 2θ = 10–80°, by intensity)
2θ/deg, I_rel
37.76, 100.0
44.18, 45.1
42.63, 31.2
36.08, 25.5
63.58, 22.9
36.93, 21.2
62.50, 19.7
75.33, 17.0
38.76, 14.3
76.37, 12.2

Cell and atoms:
```
Ag9Hg2
1.0
2.9270 0.0000 0.0000
-1.4635 2.5349 0.0000
0.0000 0.0000 34.8495
Ag Hg
9 2
Cartesian
0.0000 0.0000 0.0000
0.0000 0.0000 7.1580
0.0000 0.0000 27.6915
0.0000 1.6899 4.7748
0.0000 1.6899 25.3176
0.0000 1.6899 32.4715
1.4635 0.8450 2.3780
1.4635 0.8450 9.5319
1.4635 0.8450 30.0747
0.0000 1.6899 12.2306
1.4635 0.8450 22.6189
```

=====

6.
Simulated PXRD pattern
Compound: Ag7Hg
Radiation: Cu Kα X-rays
Structure: a cell relaxed with GGA-PBE
Lines closer than 0.1° are merged.

Peak list (10 most intense, 2θ = 10–80°, by intensity)
2θ/deg, I_rel
37.78, 100.0
44.49, 34.4
77.46, 23.0
63.37, 17.1
42.71, 14.6
64.74, 10.7
35.49, 8.9
74.93, 8.4
34.49, 6.8
36.58, 6.8

Cell and atoms:
```
Ag7Hg
1.0
2.8800 0.0000 0.0000
0.0000 2.8800 0.0000
0.0000 0.0000 42.3429
Ag Hg
14 2
Cartesian
0.7200 0.7200 1.0586
0.7200 0.7200 5.2906
0.7200 0.7200 9.5327
0.7200 0.7200 13.7708
0.7200 0.7200 30.6874
0.7200 0.7200 34.9288
0.7200 0.7200 39.1729
2.1600 2.1600 3.1699
2.1600 2.1600 7.4140
2.1600 2.1600 11.6554
2.1600 2.1600 28.5721
2.1600 2.1600 32.8102
2.1600 2.1600 37.0523
2.1600 2.1600 41.2842
0.7200 0.7200 26.0861
2.1600 2.1600 16.2568
```

=====

7.
Simulated PXRD pattern
Compound: Ho3Mg3AgHgIr
Radiation: Cu Kα X-rays
Structure: a cell relaxed with GGA-PBE
Lines closer than 0.1° are merged.

Peak list (10 most intense, 2θ = 10–80°, by intensity)
2θ/deg, I_rel
35.11, 100.0
32.40, 98.3
22.89, 53.3
13.16, 42.7
42.32, 41.2
40.20, 40.3
35.29, 30.8
64.89, 28.9
46.19, 22.2
62.86, 21.5

Cell and atoms:
```
Ho3Mg3AgHgIr
1.0
7.7708 0.0000 0.0000
-3.8854 6.7297 0.0000
0.0000 0.0000 3.9309
Ho Mg Ag Hg Ir
3 3 1 1 1
Cartesian
-1.4040 2.9050 0.0000
-0.6676 6.4931 0.0000
2.0716 4.0613 0.0000
4.8694 5.0229 1.9654
0.9862 1.7056 1.9654
5.8006 0.0012 1.9654
0.0000 0.0000 0.0000
3.8854 2.2432 1.9654
0.0000 4.4865 1.9654
```

=====

8.
Simulated PXRD pattern
Compound: NdHo2Zn3AgHg2
Radiation: Cu Kα X-rays
Structure: a cell relaxed with GGA-PBE
Lines closer than 0.1° are merged.

Peak list (10 most intense, 2θ = 10–80°, by intensity)
2θ/deg, I_rel
32.26, 100.0
35.16, 62.4
41.42, 27.5
44.37, 25.4
35.04, 24.4
42.64, 22.4
36.21, 22.3
66.13, 18.1
23.48, 17.7
62.30, 16.4

Cell and atoms:
```
NdHo2Zn3AgHg2
1.0
4.0834 0.0000 0.0000
0.0000 6.5753 3.7694
0.0000 -6.5753 3.7694
Nd Ho Zn Ag Hg
1 2 3 1 2
Cartesian
0.0000 0.0000 0.0000
0.0000 -2.6504 4.5818
0.0000 2.6504 4.5818
2.0417 -1.6100 2.1573
2.0417 1.6100 2.1573
2.0417 0.0000 4.9052
0.0000 0.0000 3.1136
2.0417 -4.3193 3.0545
2.0417 4.3193 3.0545
```